Diffraction record for Ag2O3. The powder diffraction line list is theoretical, not measured: it uses the PBE geometry in the Materials Project and Cu Kα X-rays.
No peak broadening, texture or thermal motion is included.

Most intense lines, 5 to 70 degrees two-theta, low angle first:
| 2θ (°) | Rel. int. |
| --- | --- |
| 24.7 | 2 |
| 30.3 | 100 |
| 35.1 | 30 |
| 50.6 | 49 |
| 60.1 | 39 |
| 63.1 | 8 |

abc: 5.1066 5.1066 5.1066
angles: 90.00 90.00 90.00
Space group Pn-3m (No. 224, origin choice 2)
Unique sites:
Ag 0.0000 0.0000 0.0000 (multiplicity 4)
O 0.2500 0.2500 0.7500 (multiplicity 6)



Diffraction record for LiCuP4O12. The powder diffraction line list is theoretical, not measured: it uses the PBE geometry in the Materials Project and Cu Kα X-rays.
No peak broadening, texture or thermal motion is included.

Most intense lines, 5 to 70 degrees two-theta, low angle first:
| 2θ (°) | Rel. int. |
| --- | --- |
| 11.7 | 100 |
| 17.0 | 89 |
| 22.9 | 41 |
| 25.3 | 86 |
| 27.3 | 64 |
| 31.4 | 55 |

abc: 9.3583 13.0714 7.8125
angles: 90.00 95.52 90.00
Space group Cc (No. 9)
Unique sites:
Li 0.0000 0.1536 0.0000 (multiplicity 4)
Cu 0.1616 0.3643 0.4247 (multiplicity 4)
P 0.0320 0.4186 0.9876 (multiplicity 4)
P 0.0547 0.1604 0.5805 (multiplicity 4)
P 0.2523 0.1514 0.3237 (multiplicity 4)
P 0.3071 0.4247 0.8425 (multiplicity 4)
O 0.0081 0.3569 0.1414 (multiplicity 4)
O 0.0331 0.2682 0.5020 (multiplicity 4)
O 0.0578 0.4671 0.5218 (multiplicity 4)
O 0.0769 0.1474 0.7687 (multiplicity 4)
O 0.1611 0.3721 0.8890 (multiplicity 4)
O 0.1706 0.1307 0.1569 (multiplicity 4)
O 0.1786 0.1040 0.4856 (multiplicity 4)
O 0.2842 0.4587 0.3316 (multiplicity 4)
O 0.2936 0.2637 0.3711 (multiplicity 4)
O 0.3561 0.3785 0.6850 (multiplicity 4)
O 0.4018 0.0913 0.3373 (multiplicity 4)
O 0.4129 0.4035 0.0116 (multiplicity 4)



Diffraction record for K2Mg2Si2O7. The powder diffraction line list is theoretical, not measured: it uses the PBE geometry in the Materials Project and Cu Kα X-rays.
No peak broadening, texture or thermal motion is included.

Most intense lines, 5 to 70 degrees two-theta, low angle first:
| 2θ (°) | Rel. int. |
| --- | --- |
| 33.6 | 100 |
| 34.9 | 88 |
| 37.5 | 56 |
| 44.5 | 62 |
| 62.5 | 45 |
| 66.9 | 44 |

abc: 5.1476 5.1476 6.6606
angles: 90.00 90.00 120.00
Space group P-31m (No. 162)
Unique sites:
K 0.3333 0.6667 0.0000 (multiplicity 2)
Mg 0.3333 0.6667 0.5000 (multiplicity 2)
Si 0.0000 0.0000 0.2577 (multiplicity 2)
O 0.0000 0.0000 0.0000 (multiplicity 1)
O 0.0000 0.3100 0.3186 (multiplicity 6)



Diffraction record for Pr5Si3O13. The powder diffraction line list is theoretical, not measured: it uses the PBE geometry in the Materials Project and Cu Kα X-rays.
No peak broadening, texture or thermal motion is included.

Most intense lines, 5 to 70 degrees two-theta, low angle first:
| 2θ (°) | Rel. int. |
| --- | --- |
| 27.1 | 44 |
| 27.9 | 41 |
| 30.7 | 100 |
| 31.0 | 65 |
| 31.8 | 35 |
| 45.0 | 35 |

abc: 9.7568 9.7568 7.1599
angles: 90.00 90.00 120.00
Space group P6_3/m (No. 176)
Unique sites:
Pr 0.0102 0.2418 0.2500 (multiplicity 6)
Pr 0.3333 0.6667 0.0014 (multiplicity 4)
Si 0.0284 0.3986 0.7500 (multiplicity 6)
O 0.0000 0.0000 0.2500 (multiplicity 2)
O 0.0913 0.3427 0.5667 (multiplicity 12)
O 0.1216 0.5936 0.7500 (multiplicity 6)
O 0.1646 0.6826 0.2500 (multiplicity 6)



Diffraction record for Cs2UNb6Cl15O3. The powder diffraction line list is theoretical, not measured: it uses the PBE geometry in the Materials Project and Cu Kα X-rays.
No peak broadening, texture or thermal motion is included.

Most intense lines, 5 to 70 degrees two-theta, low angle first:
| 2θ (°) | Rel. int. |
| --- | --- |
| 10.0 | 100 |
| 18.7 | 59 |
| 27.9 | 59 |
| 29.4 | 63 |
| 33.2 | 89 |
| 35.9 | 73 |

abc: 9.2826 9.2826 17.6966
angles: 90.00 90.00 120.00
Space group P-31c (No. 163)
Unique sites:
Cs 0.3333 0.6667 0.0465 (multiplicity 4)
U 0.3333 0.6667 0.7500 (multiplicity 2)
Nb 0.0163 0.1970 0.6839 (multiplicity 12)
Cl 0.0185 0.2179 0.4109 (multiplicity 12)
Cl 0.0801 0.4774 0.6192 (multiplicity 12)
Cl 0.2116 0.4232 0.2500 (multiplicity 6)
O 0.1887 0.3775 0.7500 (multiplicity 6)



Diffraction record for ScPH4O6. The powder diffraction line list is theoretical, not measured: it uses the PBE geometry in the Materials Project and Cu Kα X-rays.
No peak broadening, texture or thermal motion is included.

Most intense lines, 5 to 70 degrees two-theta, low angle first:
| 2θ (°) | Rel. int. |
| --- | --- |
| 17.2 | 40 |
| 18.3 | 72 |
| 19.7 | 100 |
| 23.7 | 42 |
| 30.7 | 70 |
| 31.0 | 32 |

abc: 5.4785 10.3376 10.4089
angles: 90.00 120.11 90.00
Space group P2_1/c (No. 14)
Unique sites:
Sc 0.1109 0.1695 0.1997 (multiplicity 4)
P 0.2748 0.6500 0.6817 (multiplicity 4)
H 0.1061 0.0506 0.7692 (multiplicity 4)
H 0.3416 0.1631 0.5194 (multiplicity 4)
H 0.3748 0.5379 0.3030 (multiplicity 4)
H 0.4233 0.6820 0.0239 (multiplicity 4)
O 0.0846 0.6818 0.7490 (multiplicity 4)
O 0.1494 0.7099 0.5246 (multiplicity 4)
O 0.1789 0.5402 0.2858 (multiplicity 4)
O 0.2970 0.9995 0.1751 (multiplicity 4)
O 0.3855 0.1463 0.4398 (multiplicity 4)
O 0.4274 0.2082 0.7156 (multiplicity 4)



What is the formula in the third record?
K2Mg2Si2O7